This entry pairs a crystal structure of K3P2HO6F2 with its theoretical powder diffraction line list. Radiation: Cu Ka. Structure: a crystal structure in Alexandria, relaxed with PBE.
No peak broadening, texture or thermal motion is included.

Structure:
Lattice parameters (Å, degrees): 7.9821 11.7600 9.7095 90.00 113.47 90.00
Space group Cc (No. 9)
Unique sites:
K: 0.0000 0.1312 0.0000 [4 per cell]
K: 0.0928 0.3602 0.6901 [4 per cell]
K: 0.1856 0.1312 0.3790 [4 per cell]
P: 0.3015 0.3839 0.1215 [4 per cell]
P: 0.3834 0.1164 0.7576 [4 per cell]
H: 0.0924 0.4991 0.4394 [4 per cell]
O: 0.0737 0.4043 0.3882 [4 per cell]
O: 0.1114 0.4048 0.9912 [4 per cell]
O: 0.3043 0.0108 0.6662 [4 per cell]
O: 0.3107 0.2731 0.2026 [4 per cell]
O: 0.3746 0.2270 0.6763 [4 per cell]
O: 0.3812 0.4892 0.2134 [4 per cell]
F: 0.2564 0.1387 0.8538 [4 per cell]
F: 0.4284 0.3619 0.0250 [4 per cell]

Main lines, in order of rising 2θ (2θ from 15° to 90°):
two_theta, intensity, hkl
27.0, 100, 2 2 -1
28.3, 34, 1 1 2
28.6, 35, 1 1 -3
30.4, 39, 0 4 0
35.8, 47, 1 3 2
36.0, 28, 1 3 -3
37.5, 14, 2 0 2
38.0, 23, 2 0 -4
42.8, 11, 3 1 1
43.4, 13, 3 1 -4